Entry 1:
Ce4Pm3Ru4: simulated X-ray powder pattern (Cu Kα), based on DFT lattice parameters and positions (GGA-PBE).
Kinematic intensities with the Lorentz-polarization factor, no thermal factor.

Top 10 peaks for 10 to 90 degrees two-theta, in order of rising 2θ:
| 2θ (°) | I/Imax |
| --- | --- |
| 31.23 | 1000 |
| 31.45 | 302 |
| 33.27 | 325 |
| 35.62 | 602 |
| 37.39 | 181 |
| 39.22 | 128 |
| 40.93 | 147 |
| 49.67 | 192 |
| 52.91 | 134 |
| 59.68 | 227 |

Atomic structure:
```
data_Ce4Pm3Ru4
_chemical_formula_sum 'Ce8 Pm6 Ru8'
_cell_length_a 3.6711
_cell_length_b 9.6196
_cell_length_c 14.8878
_cell_angle_alpha 90.00
_cell_angle_beta 90.00
_cell_angle_gamma 90.00
_symmetry_space_group_name_H-M 'I m m m'
_symmetry_Int_Tables_number 71
_symmetry_space_group_name_Hall '-I 2 2'
loop_
_atom_site_label
_atom_site_type_symbol
_atom_site_fract_x
_atom_site_fract_y
_atom_site_fract_z
Ce1 Ce 0.0000 0.1947 0.1632
Pm1 Pm 0.0000 0.0000 0.3894
Pm2 Pm 0.0000 0.5000 0.5000
Ru1 Ru 0.0000 0.2763 0.0000
Ru2 Ru 0.0000 0.5000 0.2874
```



Entry 2:
CePm4S4: simulated X-ray powder pattern (Cu Kα), based on DFT lattice parameters and positions (GGA-PBE).
Kinematic intensities with the Lorentz-polarization factor, no thermal factor.

Top 10 peaks for 10 to 90 degrees two-theta, in order of rising 2θ:
| 2θ (°) | I/Imax |
| --- | --- |
| 27.21 | 1000 |
| 31.44 | 369 |
| 31.57 | 729 |
| 45.18 | 795 |
| 53.44 | 163 |
| 53.60 | 322 |
| 56.14 | 277 |
| 72.56 | 131 |
| 74.89 | 234 |
| 83.49 | 178 |

Atomic structure:
```
data_CePm4S4
_chemical_formula_sum 'Ce2 Pm8 S8'
_cell_length_a 8.9624
_cell_length_b 8.9624
_cell_length_c 5.6908
_cell_angle_alpha 90.00
_cell_angle_beta 90.00
_cell_angle_gamma 90.00
_symmetry_space_group_name_H-M 'I 4/m'
_symmetry_Int_Tables_number 87
_symmetry_space_group_name_Hall '-I 4'
loop_
_atom_site_label
_atom_site_type_symbol
_atom_site_fract_x
_atom_site_fract_y
_atom_site_fract_z
Ce1 Ce 0.0000 0.0000 0.0000
Pm1 Pm 0.1022 0.3029 0.5000
S1 S 0.0989 0.3005 0.0000
```



Entry 3:
Ce4Pm3S8: simulated X-ray powder pattern (Cu Kα), based on DFT lattice parameters and positions (GGA-PBE).
Kinematic intensities with the Lorentz-polarization factor, no thermal factor.

Top 10 peaks for 10 to 90 degrees two-theta, in order of rising 2θ:
| 2θ (°) | I/Imax |
| --- | --- |
| 13.46 | 122 |
| 27.10 | 632 |
| 31.40 | 1000 |
| 44.99 | 720 |
| 53.32 | 317 |
| 55.89 | 249 |
| 65.52 | 115 |
| 72.27 | 128 |
| 74.46 | 318 |
| 83.02 | 241 |

Atomic structure:
```
data_Ce4Pm3S8
_chemical_formula_sum 'Ce8 Pm6 S16'
_cell_length_a 11.3958
_cell_length_b 11.3979
_cell_length_c 8.0539
_cell_angle_alpha 90.00
_cell_angle_beta 134.96
_cell_angle_gamma 90.00
_symmetry_space_group_name_H-M 'C 1 2/m 1'
_symmetry_Int_Tables_number 12
loop_
_symmetry_equiv_pos_as_xyz
'x,y,z'
'-x,-y,-z'
'-x,y,-z'
'x,-y,z'
'x+1/2,y+1/2,z'
'-x+1/2,-y+1/2,-z'
'-x+1/2,y+1/2,-z'
'x+1/2,-y+1/2,z'
loop_
_atom_site_label
_atom_site_type_symbol
_atom_site_fract_x
_atom_site_fract_y
_atom_site_fract_z
Ce1 Ce 0.0000 0.0000 0.0000
Ce2 Ce 0.0000 0.5000 0.5000
Ce3 Ce 0.2500 0.2500 0.0000
Pm1 Pm 0.0000 0.5000 0.0000
Pm2 Pm 0.2500 0.2500 0.5000
S1 S 0.0000 0.2501 0.0000
S2 S 0.0000 0.2502 0.5000
S3 S 0.2501 0.0000 0.9997
S4 S 0.2498 0.0000 0.4994
```



Entry 4:
CePm2S4: simulated X-ray powder pattern (Cu Kα), based on DFT lattice parameters and positions (GGA-PBE).
Kinematic intensities with the Lorentz-polarization factor, no thermal factor.

Top 10 peaks for 10 to 90 degrees two-theta, in order of rising 2θ:
| 2θ (°) | I/Imax |
| --- | --- |
| 23.97 | 1000 |
| 24.41 | 260 |
| 26.69 | 268 |
| 27.03 | 255 |
| 30.98 | 411 |
| 33.12 | 530 |
| 41.28 | 449 |
| 45.53 | 270 |
| 45.72 | 222 |
| 52.45 | 242 |

Atomic structure:
```
data_CePm2S4
_chemical_formula_sum 'Ce4 Pm8 S16'
_cell_length_a 3.9528
_cell_length_b 13.3569
_cell_length_c 13.4016
_cell_angle_alpha 90.00
_cell_angle_beta 90.00
_cell_angle_gamma 90.00
_symmetry_space_group_name_H-M 'C m c m'
_symmetry_Int_Tables_number 63
_symmetry_space_group_name_Hall '-C 2c 2'
loop_
_atom_site_label
_atom_site_type_symbol
_atom_site_fract_x
_atom_site_fract_y
_atom_site_fract_z
Ce1 Ce 0.0000 0.1225 0.2500
Pm1 Pm 0.0000 0.3693 0.0683
S1 S 0.0000 0.0000 0.0000
S2 S 0.0000 0.2747 0.6232
S3 S 0.0000 0.4698 0.2500
```



Entry 5:
CePmSe2S: simulated X-ray powder pattern (Cu Kα), based on DFT lattice parameters and positions (GGA-PBE).
Kinematic intensities with the Lorentz-polarization factor, no thermal factor.

Top 10 peaks for 10 to 90 degrees two-theta, in order of rising 2θ:
| 2θ (°) | I/Imax |
| --- | --- |
| 23.80 | 337 |
| 24.18 | 458 |
| 29.88 | 1000 |
| 38.56 | 595 |
| 42.09 | 341 |
| 42.77 | 528 |
| 49.53 | 191 |
| 61.56 | 221 |
| 62.08 | 180 |
| 70.41 | 255 |

Atomic structure:
```
data_CePmSe2S
_chemical_formula_sum 'Ce2 Pm2 Se4 S2'
_cell_length_a 4.2283
_cell_length_b 4.2283
_cell_length_c 14.9534
_cell_angle_alpha 90.00
_cell_angle_beta 90.00
_cell_angle_gamma 90.00
_symmetry_space_group_name_H-M 'P 4/n m m'
_symmetry_Int_Tables_number 129
loop_
_symmetry_equiv_pos_as_xyz
'x,y,z'
'-x,-y,-z'
'-y+1/2,x,z'
'y+1/2,-x,-z'
'-x+1/2,-y+1/2,z'
'x+1/2,y+1/2,-z'
'y,-x+1/2,z'
'-y,x+1/2,-z'
'x+1/2,-y,-z'
'-x+1/2,y,z'
'-y,-x,-z'
'y,x,z'
'-x,y+1/2,-z'
'x,-y+1/2,z'
'y+1/2,x+1/2,-z'
'-y+1/2,-x+1/2,z'
loop_
_atom_site_label
_atom_site_type_symbol
_atom_site_fract_x
_atom_site_fract_y
_atom_site_fract_z
Ce1 Ce 0.2500 0.2500 0.1072
Pm1 Pm 0.2500 0.2500 0.6226
Se1 Se 0.2500 0.2500 0.2978
Se2 Se 0.2500 0.2500 0.9016
S1 S 0.2500 0.7500 0.5000
```



Entry 6:
CePm4SmS8: simulated X-ray powder pattern (Cu Kα), based on DFT lattice parameters and positions (GGA-PBE).
Kinematic intensities with the Lorentz-polarization factor, no thermal factor.

Top 10 peaks for 10 to 90 degrees two-theta, in order of rising 2θ:
| 2θ (°) | I/Imax |
| --- | --- |
| 21.42 | 259 |
| 25.17 | 1000 |
| 26.31 | 125 |
| 30.47 | 207 |
| 39.92 | 444 |
| 43.63 | 598 |
| 51.03 | 147 |
| 60.61 | 246 |
| 69.34 | 137 |
| 80.10 | 144 |

Atomic structure:
```
data_CePm4SmS8
_chemical_formula_sum 'Ce3 Pm12 Sm3 S24'
_cell_length_a 8.3022
_cell_length_b 8.3022
_cell_length_c 20.3091
_cell_angle_alpha 90.00
_cell_angle_beta 90.00
_cell_angle_gamma 120.00
_symmetry_space_group_name_H-M 'R 3 m'
_symmetry_Int_Tables_number 160
_symmetry_space_group_name_Hall 'R 3 -2"'
loop_
_atom_site_label
_atom_site_type_symbol
_atom_site_fract_x
_atom_site_fract_y
_atom_site_fract_z
Ce1 Ce 0.0000 0.0000 0.0000
Pm1 Pm 0.0000 0.0000 0.7503
Pm2 Pm 0.0002 0.5001 0.8751
Sm1 Sm 0.0000 0.0000 0.3748
S1 S 0.0000 0.0000 0.1343
S2 S 0.0000 0.0000 0.6177
S3 S 0.0213 0.5106 0.1271
S4 S 0.1795 0.3589 0.9557
```



Entry 7:
Ce2PmTl3S6: simulated X-ray powder pattern (Cu Kα), based on DFT lattice parameters and positions (GGA-PBE).
Kinematic intensities with the Lorentz-polarization factor, no thermal factor.

Top 10 peaks for 10 to 90 degrees two-theta, in order of rising 2θ:
| 2θ (°) | I/Imax |
| --- | --- |
| 23.78 | 276 |
| 25.85 | 627 |
| 29.35 | 1000 |
| 40.68 | 381 |
| 43.27 | 352 |
| 47.67 | 155 |
| 49.97 | 241 |
| 53.15 | 187 |
| 67.15 | 155 |
| 70.86 | 158 |

Atomic structure:
```
data_Ce2PmTl3S6
_chemical_formula_sum 'Ce4 Pm2 Tl6 S12'
_cell_length_a 7.2429
_cell_length_b 12.5449
_cell_length_c 7.8619
_cell_angle_alpha 90.00
_cell_angle_beta 107.88
_cell_angle_gamma 90.00
_symmetry_space_group_name_H-M 'C 1 2/m 1'
_symmetry_Int_Tables_number 12
loop_
_symmetry_equiv_pos_as_xyz
'x,y,z'
'-x,-y,-z'
'-x,y,-z'
'x,-y,z'
'x+1/2,y+1/2,z'
'-x+1/2,-y+1/2,-z'
'-x+1/2,y+1/2,-z'
'x+1/2,-y+1/2,z'
loop_
_atom_site_label
_atom_site_type_symbol
_atom_site_fract_x
_atom_site_fract_y
_atom_site_fract_z
Ce1 Ce 0.0000 0.1668 0.0000
Pm1 Pm 0.0000 0.5000 0.0000
Tl1 Tl 0.0000 0.0000 0.5000
Tl2 Tl 0.0000 0.3342 0.5000
S1 S 0.2345 0.0000 0.2017
S2 S 0.2337 0.3336 0.2019
```



Entry 8:
CePm3Y3S8: simulated X-ray powder pattern (Cu Kα), based on DFT lattice parameters and positions (GGA-PBE).
Kinematic intensities with the Lorentz-polarization factor, no thermal factor.

Top 10 peaks for 10 to 90 degrees two-theta, in order of rising 2θ:
| 2θ (°) | I/Imax |
| --- | --- |
| 13.65 | 204 |
| 26.28 | 154 |
| 27.48 | 522 |
| 31.84 | 1000 |
| 45.59 | 355 |
| 45.70 | 353 |
| 54.09 | 195 |
| 56.77 | 182 |
| 75.58 | 154 |
| 84.48 | 175 |

Atomic structure:
```
data_CePm3Y3S8
_chemical_formula_sum 'Ce3 Pm9 Y9 S24'
_cell_length_a 7.9412
_cell_length_b 7.9412
_cell_length_c 19.5166
_cell_angle_alpha 90.00
_cell_angle_beta 90.00
_cell_angle_gamma 120.00
_symmetry_space_group_name_H-M 'R -3 m'
_symmetry_Int_Tables_number 166
_symmetry_space_group_name_Hall '-R 3 2"'
loop_
_atom_site_label
_atom_site_type_symbol
_atom_site_fract_x
_atom_site_fract_y
_atom_site_fract_z
Ce1 Ce 0.0000 0.0000 0.0000
Pm1 Pm 0.0000 0.5000 0.5000
Y1 Y 0.0000 0.5000 0.0000
S1 S 0.0000 0.0000 0.2534
S2 S 0.0089 0.5044 0.2515
```